Entry 1:
Diffraction record for MgCo2S4. The PXRD pattern is simulated, not measured: it uses DFT lattice parameters and positions (GGA-PBE) and Cu Kα, 1.54184 Å.

Crystal structure
abc: 6.933 6.933 6.933
angles: 60.00 60.00 60.00
Atoms (fractional coordinates):
Mg: 0.125 0.125 0.125
Mg: 0.875 0.875 0.875
Co: 0.000 0.500 0.500
Co: 0.500 0.000 0.500
Co: 0.500 0.500 0.000
Co: 0.500 0.500 0.500
S: 0.268 0.268 0.268
S: 0.268 0.268 0.695
S: 0.268 0.695 0.268
S: 0.305 0.732 0.732
S: 0.695 0.268 0.268
S: 0.732 0.305 0.732
S: 0.732 0.732 0.305
S: 0.732 0.732 0.732

Peak list (6 most intense, 2θ from 10° to 90°, by intensity)
2θ/deg, intensity
15.65, 100
36.66, 87
52.82, 78
30.23, 66
48.23, 54
55.44, 16

***

Entry 2:
Diffraction record for MgCo2S4. The PXRD pattern is simulated, not measured: it uses DFT lattice parameters and positions (GGA-PBE) and Cu Kα, 1.54184 Å.

Crystal structure
abc: 6.863 6.863 6.863
angles: 120.29 118.71 90.87
Atoms (fractional coordinates):
Mg: 0.000 0.000 0.000
Mg: 0.500 0.000 0.500
Co: 0.000 0.500 0.500
Co: 0.500 0.000 0.000
Co: 0.500 0.500 0.000
Co: 0.500 0.500 0.500
S: 0.266 0.297 0.531
S: 0.266 0.736 0.969
S: 0.272 0.738 0.534
S: 0.295 0.262 0.034
S: 0.705 0.738 0.966
S: 0.728 0.262 0.466
S: 0.734 0.264 0.031
S: 0.734 0.703 0.469

Peak list (6 most intense, 2θ from 10° to 90°, by intensity)
2θ/deg, intensity
36.77, 100
15.65, 85
53.41, 59
37.34, 49
15.90, 34
30.59, 21

***

Entry 3:
Diffraction record for MgTiCoS4. The PXRD pattern is simulated, not measured: it uses DFT lattice parameters and positions (GGA-PBE) and Cu Kα, 1.54184 Å.

Crystal structure
abc: 7.148 7.148 7.093
angles: 119.67 119.67 61.04
Atoms (fractional coordinates):
Mg: 0.127 0.127 0.377
Mg: 0.873 0.873 0.623
Ti: 0.500 0.500 0.000
Ti: 0.500 0.500 0.500
Co: 0.000 0.500 0.000
Co: 0.500 0.000 0.000
S: 0.247 0.714 0.231
S: 0.258 0.258 0.219
S: 0.258 0.258 0.796
S: 0.286 0.753 0.769
S: 0.714 0.247 0.231
S: 0.742 0.742 0.204
S: 0.742 0.742 0.781
S: 0.753 0.286 0.769

Peak list (6 most intense, 2θ from 10° to 90°, by intensity)
2θ/deg, intensity
35.38, 100
51.09, 93
15.27, 93
35.63, 49
29.02, 42
46.73, 42

***

Entry 4:
Diffraction record for Mg2Ti3CoS8. The PXRD pattern is simulated, not measured: it uses DFT lattice parameters and positions (GGA-PBE) and Cu Kα, 1.54184 Å.

Crystal structure
abc: 7.227 7.227 7.304
angles: 119.57 119.57 60.04
Atoms (fractional coordinates):
Mg: 0.122 0.122 0.367
Mg: 0.878 0.878 0.633
Ti: 0.000 0.500 0.000
Ti: 0.500 0.000 0.000
Ti: 0.500 0.500 0.000
Co: 0.500 0.500 0.500
S: 0.258 0.258 0.773
S: 0.267 0.267 0.246
S: 0.267 0.712 0.246
S: 0.288 0.733 0.754
S: 0.712 0.267 0.246
S: 0.733 0.288 0.754
S: 0.733 0.733 0.754
S: 0.742 0.742 0.227

Peak list (6 most intense, 2θ from 10° to 90°, by intensity)
2θ/deg, intensity
34.91, 100
14.98, 60
49.91, 51
50.50, 46
28.84, 38
45.89, 26

***

Entry 5:
Diffraction record for Mg2V3CoS8. The PXRD pattern is simulated, not measured: it uses DFT lattice parameters and positions (GGA-PBE) and Cu Kα, 1.54184 Å.

Crystal structure
abc: 7.245 7.245 7.245
angles: 58.69 58.69 58.69
Atoms (fractional coordinates):
Mg: 0.125 0.125 0.125
Mg: 0.875 0.875 0.875
V: 0.000 0.500 0.500
V: 0.500 0.000 0.500
V: 0.500 0.500 0.000
Co: 0.500 0.500 0.500
S: 0.261 0.261 0.261
S: 0.272 0.272 0.708
S: 0.272 0.708 0.272
S: 0.292 0.728 0.728
S: 0.708 0.272 0.272
S: 0.728 0.292 0.728
S: 0.728 0.728 0.292
S: 0.739 0.739 0.739

Peak list (6 most intense, 2θ from 10° to 90°, by intensity)
2θ/deg, intensity
35.41, 100
15.23, 72
50.40, 50
51.48, 44
29.26, 37
46.57, 29

***

Entry 6:
Diffraction record for Mg2Co3WS8. The PXRD pattern is simulated, not measured: it uses DFT lattice parameters and positions (GGA-PBE) and Cu Kα, 1.54184 Å.

Crystal structure
abc: 7.053 7.053 7.053
angles: 60.23 60.23 60.23
Atoms (fractional coordinates):
Mg: 0.126 0.126 0.126
Mg: 0.874 0.874 0.874
Co: 0.000 0.500 0.500
Co: 0.500 0.000 0.500
Co: 0.500 0.500 0.000
W: 0.500 0.500 0.500
S: 0.259 0.259 0.702
S: 0.259 0.702 0.259
S: 0.269 0.269 0.269
S: 0.298 0.741 0.741
S: 0.702 0.259 0.259
S: 0.731 0.731 0.731
S: 0.741 0.298 0.741
S: 0.741 0.741 0.298

Peak list (6 most intense, 2θ from 10° to 90°, by intensity)
2θ/deg, intensity
15.34, 100
35.95, 64
29.64, 50
47.24, 38
51.66, 29
51.85, 26

***

Entry 7:
Diffraction record for Mg6CoSn. The PXRD pattern is simulated, not measured: it uses DFT lattice parameters and positions (GGA-PBE) and Cu Kα, 1.54184 Å.

Crystal structure
abc: 4.862 6.128 6.128
angles: 60.66 90.00 90.00
Atoms (fractional coordinates):
Mg: 0.000 0.000 0.000
Mg: 0.000 0.505 0.983
Mg: 0.000 0.983 0.505
Mg: 0.500 0.160 0.668
Mg: 0.500 0.165 0.165
Mg: 0.500 0.668 0.160
Co: 0.500 0.666 0.666
Sn: 0.000 0.506 0.506

Peak list (6 most intense, 2θ from 10° to 90°, by intensity)
2θ/deg, intensity
38.46, 100
16.60, 67
38.76, 52
36.98, 38
33.55, 29
34.61, 27

***

Entry 8:
Diffraction record for Mg14CoSn. The PXRD pattern is simulated, not measured: it uses DFT lattice parameters and positions (GGA-PBE) and Cu Kα, 1.54184 Å.

Crystal structure
abc: 10.126 6.274 6.274
angles: 60.07 90.00 90.00
Atoms (fractional coordinates):
Mg: 0.000 0.000 0.000
Mg: 0.000 0.003 0.498
Mg: 0.000 0.498 0.003
Mg: 0.000 0.499 0.499
Mg: 0.246 0.667 0.667
Mg: 0.260 0.161 0.161
Mg: 0.263 0.161 0.678
Mg: 0.263 0.678 0.161
Mg: 0.500 0.499 0.996
Mg: 0.500 0.996 0.499
Mg: 0.737 0.161 0.678
Mg: 0.737 0.678 0.161
Mg: 0.740 0.161 0.161
Mg: 0.754 0.667 0.667
Co: 0.500 0.002 0.002
Sn: 0.500 0.504 0.504

Peak list (6 most intense, 2θ from 10° to 90°, by intensity)
2θ/deg, intensity
37.56, 100
32.96, 28
35.46, 25
18.53, 21
70.63, 19
65.06, 18

***

Entry 9:
Diffraction record for Mg6CoSn. The PXRD pattern is simulated, not measured: it uses DFT lattice parameters and positions (GGA-PBE) and Cu Kα, 1.54184 Å.

Crystal structure
abc: 4.891 6.186 6.186
angles: 59.58 90.00 90.00
Atoms (fractional coordinates):
Mg: 0.000 0.000 0.000
Mg: 0.000 0.017 0.484
Mg: 0.000 0.484 0.017
Mg: 0.000 0.488 0.488
Mg: 0.500 0.333 0.829
Mg: 0.500 0.829 0.333
Co: 0.500 0.330 0.330
Sn: 0.500 0.832 0.832

Peak list (6 most intense, 2θ from 10° to 90°, by intensity)
2θ/deg, intensity
38.44, 100
38.24, 52
24.65, 44
16.51, 41
36.75, 36
33.60, 34

***

Entry 10:
Diffraction record for Mg14CoSn. The PXRD pattern is simulated, not measured: it uses DFT lattice parameters and positions (GGA-PBE) and Cu Kα, 1.54184 Å.

Crystal structure
abc: 6.206 6.206 10.244
angles: 90.00 90.00 120.00
Atoms (fractional coordinates):
Mg: 0.000 0.000 0.250
Mg: 0.000 0.000 0.750
Mg: 0.010 0.505 0.238
Mg: 0.010 0.505 0.762
Mg: 0.330 0.165 0.000
Mg: 0.334 0.167 0.500
Mg: 0.495 0.505 0.238
Mg: 0.495 0.505 0.762
Mg: 0.495 0.990 0.238
Mg: 0.495 0.990 0.762
Mg: 0.833 0.167 0.500
Mg: 0.833 0.666 0.500
Mg: 0.835 0.165 0.000
Mg: 0.835 0.670 0.000
Co: 0.333 0.667 0.000
Sn: 0.333 0.667 0.500

Peak list (6 most intense, 2θ from 10° to 90°, by intensity)
2θ/deg, intensity
37.81, 100
16.49, 32
33.34, 27
35.04, 26
24.00, 23
64.68, 20

***

Entry 11:
Diffraction record for TbMgCo4. The PXRD pattern is simulated, not measured: it uses DFT lattice parameters and positions (GGA-PBE) and Cu Kα, 1.54184 Å.

Crystal structure
abc: 4.969 4.969 4.969
angles: 60.00 60.00 60.00
Atoms (fractional coordinates):
Tb: 0.000 0.000 0.000
Mg: 0.250 0.250 0.250
Co: 0.127 0.624 0.624
Co: 0.624 0.127 0.624
Co: 0.624 0.624 0.127
Co: 0.624 0.624 0.624

Peak list (6 most intense, 2θ from 10° to 90°, by intensity)
2θ/deg, intensity
42.68, 100
36.16, 37
44.67, 31
69.51, 30
25.35, 24
21.91, 22

***

Entry 12:
Diffraction record for Tb4MgCo. The PXRD pattern is simulated, not measured: it uses DFT lattice parameters and positions (GGA-PBE) and Cu Kα, 1.54184 Å.

Crystal structure
abc: 9.599 9.599 9.599
angles: 60.00 60.00 60.00
Atoms (fractional coordinates):
Tb: 0.034 0.655 0.655
Tb: 0.063 0.063 0.437
Tb: 0.063 0.437 0.063
Tb: 0.063 0.437 0.437
Tb: 0.187 0.187 0.813
Tb: 0.187 0.813 0.187
Tb: 0.187 0.813 0.813
Tb: 0.437 0.063 0.063
Tb: 0.437 0.063 0.437
Tb: 0.437 0.437 0.063
Tb: 0.655 0.034 0.655
Tb: 0.655 0.655 0.034
Tb: 0.655 0.655 0.655
Tb: 0.813 0.187 0.187
Tb: 0.813 0.187 0.813
Tb: 0.813 0.813 0.187
Mg: 0.421 0.421 0.421
Mg: 0.421 0.421 0.737
Mg: 0.421 0.737 0.421
Mg: 0.737 0.421 0.421
Co: 0.422 0.859 0.859
Co: 0.859 0.422 0.859
Co: 0.859 0.859 0.422
Co: 0.859 0.859 0.859

Peak list (6 most intense, 2θ from 10° to 90°, by intensity)
2θ/deg, intensity
34.32, 100
32.31, 67
57.61, 60
28.66, 58
37.48, 28
55.40, 20